Starting from a DFT-relaxed cell (GGA+U, Alexandria), the powder diffraction line list of V3SnO8 was calculated for Cu Kα (λ = 1.5418 Å).
Peak positions follow from Bragg's law for the DFT cell and can differ from measured ones.

Most intense lines, 2θ from 10° to 90°, in order of rising 2θ:
2θ 13.97, intensity 68; 2θ 14.75, intensity 81; 2θ 24.24, intensity 100; 2θ 28.15, intensity 60; 2θ 28.95, intensity 44; 2θ 29.18, intensity 36; 2θ 32.24, intensity 36; 2θ 47.14, intensity 37

Atomic structure:
```
V3SnO8
1.0
6.278 -1.928 0.000
6.278 1.928 0.000
-1.936 0.000 6.340
V Sn O
3 1 8
Cartesian
0.000 0.000 0.000
0.118 0.000 3.747
8.820 0.000 3.874
8.808 0.000 0.184
-0.131 0.000 2.077
0.150 0.000 6.158
2.080 0.000 3.982
6.674 0.000 0.188
6.773 0.000 4.253
9.087 0.000 2.155
8.802 0.000 5.982
10.732 0.000 4.446
```